# 1
This entry pairs a crystal structure of CuHO2 with its theoretical X-ray diffraction stick pattern. Radiation: Cu Ka. Structure: DFT lattice parameters and positions (PBE).

Most intense lines, 10 to 80 degrees two-theta, by angle:
hkl	2theta	I_rel
0 1 1	25.1	100
0 2 0	30.0	46
1 1 0	35.6	14
0 2 1	36.4	9
1 0 1	38.2	35
1 2 1	49.3	31
0 3 1	50.4	13
0 2 2	51.6	10
1 1 2	55.4	38
1 3 0	56.9	11

Atomic structure:
Cell: 2.7846 5.9609 4.4060 Å, 90.00 90.00 90.00°
Atoms (fractional coordinates):
Cu  0.0000  0.2358  0.0000
Cu  0.5000  0.7642  0.5000
H  0.0000  0.7435  0.0401
H  0.5000  0.2565  0.5401
O  0.0000  0.6593  0.2530
O  0.0000  0.8550  0.7481
O  0.5000  0.1450  0.2481
O  0.5000  0.3407  0.7530

---

# 2
This entry pairs a crystal structure of Cu9P4H2O20 with its theoretical X-ray diffraction stick pattern. Radiation: Cu Ka. Structure: DFT lattice parameters and positions (PBE).

Most intense lines, 10 to 80 degrees two-theta, by angle:
hkl	2theta	I_rel
0 1 1	19.2	39
1 1 0	21.1	39
0 2 0	23.7	100
1 -2 1	26.0	42
1 2 -2	28.6	54
0 2 -3	32.3	45
0 0 3	33.6	82
2 1 -2	34.1	38
2 -1 1	34.5	77
1 2 1	37.3	49

Atomic structure:
Cell: 5.9634 8.2526 8.9696 Å, 112.55 102.28 94.31°
Atoms (fractional coordinates):
Cu  0.0000  0.0000  0.0000
Cu  0.0167  0.3225  0.3536
Cu  0.1792  0.3973  0.0560
Cu  0.3134  0.2178  0.6768
Cu  0.4323  0.1803  0.2891
Cu  0.5677  0.8197  0.7109
Cu  0.6866  0.7822  0.3232
Cu  0.8208  0.6027  0.9440
Cu  0.9833  0.6775  0.6464
P  0.2042  0.7534  0.4085
P  0.3398  0.7297  0.9700
P  0.6602  0.2703  0.0300
P  0.7958  0.2466  0.5915
H  0.1326  0.0447  0.3799
H  0.8674  0.9553  0.6201
O  0.0140  0.8322  0.3220
O  0.0868  0.5988  0.4397
O  0.1561  0.5695  0.9462
O  0.1617  0.2374  0.1666
O  0.2240  0.1703  0.4316
O  0.2733  0.9095  0.0720
O  0.3356  0.7129  0.7900
O  0.3359  0.9028  0.5828
O  0.3687  0.6766  0.2967
O  0.4130  0.2799  0.9368
O  0.5870  0.7201  0.0632
O  0.6313  0.3234  0.7033
O  0.6641  0.0972  0.4172
O  0.6644  0.2871  0.2100
O  0.7267  0.0905  0.9280
O  0.7760  0.8297  0.5684
O  0.8383  0.7626  0.8334
O  0.8439  0.4305  0.0538
O  0.9132  0.4012  0.5603
O  0.9860  0.1678  0.6780

---

# 3
This entry pairs a crystal structure of Cu2PHO5 with its theoretical X-ray diffraction stick pattern. Radiation: Cu Ka. Structure: DFT lattice parameters and positions (PBE).

Most intense lines, 10 to 80 degrees two-theta, by angle:
hkl	2theta	I_rel
1 1 0	15.1	100
0 1 1	18.1	89
1 0 1	18.4	76
1 2 0	23.6	60
2 2 0	30.4	91
1 3 0	33.4	61
1 1 2	33.6	91
3 1 0	34.8	42
0 2 2	36.7	49
0 4 2	52.7	40

Atomic structure:
Cell: 8.1119 8.5258 5.9838 Å, 90.00 90.00 90.00°
Atoms (fractional coordinates):
Cu  0.0000  0.0000  0.2489
Cu  0.0000  0.0000  0.7511
Cu  0.1389  0.3693  0.0000
Cu  0.3611  0.8693  0.5000
Cu  0.5000  0.5000  0.2511
Cu  0.5000  0.5000  0.7489
Cu  0.6389  0.1307  0.5000
Cu  0.8611  0.6307  0.0000
P  0.2326  0.7548  0.0000
P  0.2674  0.2548  0.5000
P  0.7326  0.7452  0.5000
P  0.7674  0.2452  0.0000
H  0.0720  0.7923  0.5000
H  0.4280  0.2923  0.0000
H  0.5720  0.7077  0.0000
H  0.9280  0.2077  0.5000
O  0.1022  0.6195  0.0000
O  0.1233  0.8972  0.5000
O  0.1365  0.9156  0.0000
O  0.1568  0.2434  0.2906
O  0.1568  0.2434  0.7094
O  0.3432  0.7434  0.2094
O  0.3432  0.7434  0.7906
O  0.3635  0.4156  0.5000
O  0.3767  0.3972  0.0000
O  0.3978  0.1195  0.5000
O  0.6022  0.8805  0.5000
O  0.6233  0.6028  0.0000
O  0.6365  0.5844  0.5000
O  0.6568  0.2566  0.2094
O  0.6568  0.2566  0.7906
O  0.8432  0.7566  0.2906
O  0.8432  0.7566  0.7094
O  0.8635  0.0844  0.0000
O  0.8767  0.1028  0.5000
O  0.8978  0.3805  0.0000